The following is a computed X-ray powder pattern of La8Al7InO24. It was derived from a structure optimized by DFT (GGA-PBE), using λ = 1.5418 Å (Cu Kα).
Lines closer than 0.1° are merged.

Crystal structure
abc: 7.714 7.714 7.714
angles: 90.00 90.00 90.00
Atoms (fractional coordinates):
La  0.247  0.247  0.247
La  0.247  0.247  0.753
La  0.247  0.753  0.247
La  0.247  0.753  0.753
La  0.753  0.247  0.247
La  0.753  0.247  0.753
La  0.753  0.753  0.247
La  0.753  0.753  0.753
Al  0.000  0.000  0.000
Al  0.000  0.000  0.500
Al  0.000  0.500  0.000
Al  0.000  0.500  0.500
Al  0.500  0.000  0.000
Al  0.500  0.000  0.500
Al  0.500  0.500  0.000
In  0.500  0.500  0.500
O  0.000  0.000  0.248
O  0.000  0.000  0.752
O  0.000  0.247  0.500
O  0.000  0.248  0.000
O  0.000  0.500  0.247
O  0.000  0.500  0.753
O  0.000  0.752  0.000
O  0.000  0.753  0.500
O  0.233  0.500  0.500
O  0.247  0.000  0.500
O  0.247  0.500  0.000
O  0.248  0.000  0.000
O  0.500  0.000  0.247
O  0.500  0.000  0.753
O  0.500  0.233  0.500
O  0.500  0.247  0.000
O  0.500  0.500  0.233
O  0.500  0.500  0.767
O  0.500  0.753  0.000
O  0.500  0.767  0.500
O  0.752  0.000  0.000
O  0.753  0.000  0.500
O  0.753  0.500  0.000
O  0.767  0.500  0.500

Top 8 peaks for 2θ from 10° to 90°, low angle first:
- 23.06 deg, I = 31
- 32.84 deg, I = 100
- 40.51 deg, I = 32
- 47.12 deg, I = 35
- 53.09 deg, I = 15
- 58.63 deg, I = 39
- 68.85 deg, I = 20
- 78.40 deg, I = 17

=====

The following is a computed X-ray powder pattern of Li4AlIn5. It was derived from a structure optimized by DFT (GGA-PBE), using λ = 1.5418 Å (Cu Kα).
Lines closer than 0.1° are merged.

Crystal structure
abc: 3.492 3.492 16.592
angles: 90.00 90.00 90.00
Atoms (fractional coordinates):
Li  0.000  0.000  0.097
Li  0.000  0.000  0.292
Li  0.000  0.000  0.708
Li  0.000  0.000  0.903
Al  0.000  0.000  0.500
In  0.500  0.500  0.000
In  0.500  0.500  0.193
In  0.500  0.500  0.393
In  0.500  0.500  0.607
In  0.500  0.500  0.807

Top 8 peaks for 2θ from 10° to 90°, low angle first:
- 25.51 deg, I = 100
- 26.87 deg, I = 42
- 36.39 deg, I = 55
- 37.38 deg, I = 98
- 45.81 deg, I = 39
- 52.41 deg, I = 19
- 59.16 deg, I = 18
- 66.13 deg, I = 35

=====

The following is a computed X-ray powder pattern of MgAlIn. It was derived from a structure optimized by DFT (GGA-PBE), using λ = 1.5418 Å (Cu Kα).
Lines closer than 0.1° are merged.

Crystal structure
abc: 3.095 4.328 9.705
angles: 90.00 90.00 90.00
Atoms (fractional coordinates):
Mg  0.000  0.000  0.000
Mg  0.500  0.500  0.500
Al  0.000  0.000  0.654
Al  0.500  0.500  0.154
In  0.000  0.000  0.326
In  0.500  0.500  0.826

Top 8 peaks for 2θ from 10° to 90°, low angle first:
- 18.28 deg, I = 63
- 22.49 deg, I = 88
- 30.32 deg, I = 42
- 34.62 deg, I = 100
- 35.67 deg, I = 92
- 40.34 deg, I = 99
- 52.41 deg, I = 38
- 59.44 deg, I = 40

=====

The following is a computed X-ray powder pattern of Mg3AlIn. It was derived from a structure optimized by DFT (GGA-PBE), using λ = 1.5418 Å (Cu Kα).
Lines closer than 0.1° are merged.

Crystal structure
abc: 6.167 4.383 15.912
angles: 90.00 90.00 90.00
Atoms (fractional coordinates):
Mg  0.111  0.250  0.144
Mg  0.132  0.250  0.548
Mg  0.139  0.250  0.754
Mg  0.361  0.750  0.254
Mg  0.368  0.750  0.048
Mg  0.389  0.750  0.644
Mg  0.611  0.250  0.356
Mg  0.632  0.250  0.952
Mg  0.639  0.250  0.746
Mg  0.861  0.750  0.246
Mg  0.868  0.750  0.452
Mg  0.889  0.750  0.856
Al  0.115  0.250  0.954
Al  0.385  0.750  0.454
Al  0.615  0.250  0.546
Al  0.885  0.750  0.046
In  0.111  0.250  0.351
In  0.389  0.750  0.851
In  0.611  0.250  0.149
In  0.889  0.750  0.649

Top 8 peaks for 2θ from 10° to 90°, low angle first:
- 18.20 deg, I = 32
- 21.03 deg, I = 39
- 27.37 deg, I = 36
- 34.84 deg, I = 100
- 35.60 deg, I = 93
- 40.74 deg, I = 62
- 41.20 deg, I = 31
- 59.33 deg, I = 40

=====

The following is a computed X-ray powder pattern of Mg4AlIn7. It was derived from a structure optimized by DFT (GGA-PBE), using λ = 1.5418 Å (Cu Kα).
Lines closer than 0.1° are merged.

Crystal structure
abc: 3.389 3.389 29.237
angles: 90.00 90.00 120.00
Atoms (fractional coordinates):
Mg  0.333  0.667  0.163
Mg  0.333  0.667  0.416
Mg  0.667  0.333  0.584
Mg  0.667  0.333  0.837
Al  0.000  0.000  0.000
In  0.000  0.000  0.245
In  0.000  0.000  0.500
In  0.000  0.000  0.755
In  0.333  0.667  0.668
In  0.333  0.667  0.921
In  0.667  0.333  0.079
In  0.667  0.333  0.332

Top 8 peaks for 2θ from 10° to 90°, low angle first:
- 15.15 deg, I = 20
- 21.27 deg, I = 17
- 30.61 deg, I = 17
- 32.89 deg, I = 100
- 36.89 deg, I = 23
- 39.38 deg, I = 60
- 54.13 deg, I = 23
- 67.31 deg, I = 22

=====

The following is a computed X-ray powder pattern of Mg3AlIn4. It was derived from a structure optimized by DFT (GGA-PBE), using λ = 1.5418 Å (Cu Kα).
Lines closer than 0.1° are merged.

Crystal structure
abc: 17.691 4.629 4.629
angles: 90.00 103.63 90.00
Atoms (fractional coordinates):
Mg  0.000  0.000  0.000
Mg  0.249  0.000  0.249
Mg  0.251  0.500  0.751
Mg  0.500  0.500  0.000
Mg  0.749  0.500  0.249
Mg  0.751  0.000  0.751
Al  0.000  0.500  0.500
Al  0.500  0.000  0.500
In  0.123  0.000  0.623
In  0.123  0.500  0.122
In  0.377  0.000  0.878
In  0.377  0.500  0.377
In  0.623  0.000  0.122
In  0.623  0.500  0.623
In  0.877  0.000  0.377
In  0.877  0.500  0.878

Top 8 peaks for 2θ from 10° to 90°, low angle first:
- 20.66 deg, I = 70
- 27.25 deg, I = 72
- 34.12 deg, I = 100
- 34.77 deg, I = 95
- 38.92 deg, I = 69
- 42.04 deg, I = 27
- 56.21 deg, I = 23
- 58.61 deg, I = 20

=====

The following is a computed X-ray powder pattern of Mg17Al11In. It was derived from a structure optimized by DFT (GGA-PBE), using λ = 1.5418 Å (Cu Kα).
Lines closer than 0.1° are merged.

Crystal structure
abc: 9.159 9.159 9.166
angles: 109.44 109.44 109.38
Atoms (fractional coordinates):
Mg  0.000  0.000  0.000
Mg  0.051  0.343  0.662
Mg  0.056  0.656  0.345
Mg  0.256  0.936  0.257
Mg  0.259  0.259  0.945
Mg  0.316  0.664  0.665
Mg  0.342  0.659  0.058
Mg  0.343  0.051  0.662
Mg  0.372  0.975  0.977
Mg  0.654  0.654  0.317
Mg  0.656  0.056  0.345
Mg  0.659  0.342  0.058
Mg  0.661  0.661  0.663
Mg  0.664  0.316  0.665
Mg  0.936  0.256  0.257
Mg  0.965  0.965  0.375
Mg  0.975  0.372  0.977
Al  0.024  0.843  0.660
Al  0.025  0.660  0.845
Al  0.293  0.479  0.291
Al  0.474  0.839  0.476
Al  0.479  0.293  0.291
Al  0.483  0.483  0.859
Al  0.660  0.025  0.845
Al  0.660  0.847  0.028
Al  0.839  0.474  0.476
Al  0.843  0.024  0.660
Al  0.847  0.660  0.028
In  0.286  0.286  0.484

Top 8 peaks for 2θ from 10° to 90°, low angle first:
- 11.83 deg, I = 24
- 20.55 deg, I = 20
- 31.62 deg, I = 14
- 36.00 deg, I = 100
- 39.92 deg, I = 24
- 39.99 deg, I = 13
- 43.59 deg, I = 21
- 64.75 deg, I = 18

=====

The following is a computed X-ray powder pattern of Mg6AlIn5. It was derived from a structure optimized by DFT (GGA-PBE), using λ = 1.5418 Å (Cu Kα).
Lines closer than 0.1° are merged.

Crystal structure
abc: 8.366 8.366 4.586
angles: 105.46 105.46 108.06
Atoms (fractional coordinates):
Mg  0.083  0.411  0.747
Mg  0.247  0.247  0.248
Mg  0.411  0.083  0.747
Mg  0.589  0.917  0.253
Mg  0.753  0.753  0.752
Mg  0.917  0.589  0.253
Al  0.000  0.000  0.500
In  0.160  0.840  0.000
In  0.332  0.668  0.500
In  0.500  0.500  0.000
In  0.668  0.332  0.500
In  0.840  0.160  0.000

Top 8 peaks for 2θ from 10° to 90°, low angle first:
- 20.28 deg, I = 67
- 27.73 deg, I = 62
- 34.43 deg, I = 100
- 34.77 deg, I = 97
- 39.30 deg, I = 35
- 39.95 deg, I = 32
- 41.23 deg, I = 30
- 58.75 deg, I = 30

=====

Repeat the fourth record exactly.
The following is a computed X-ray powder pattern of Mg3AlIn. It was derived from a structure optimized by DFT (GGA-PBE), using λ = 1.5418 Å (Cu Kα).
Lines closer than 0.1° are merged.

Crystal structure
abc: 6.167 4.383 15.912
angles: 90.00 90.00 90.00
Atoms (fractional coordinates):
Mg  0.111  0.250  0.144
Mg  0.132  0.250  0.548
Mg  0.139  0.250  0.754
Mg  0.361  0.750  0.254
Mg  0.368  0.750  0.048
Mg  0.389  0.750  0.644
Mg  0.611  0.250  0.356
Mg  0.632  0.250  0.952
Mg  0.639  0.250  0.746
Mg  0.861  0.750  0.246
Mg  0.868  0.750  0.452
Mg  0.889  0.750  0.856
Al  0.115  0.250  0.954
Al  0.385  0.750  0.454
Al  0.615  0.250  0.546
Al  0.885  0.750  0.046
In  0.111  0.250  0.351
In  0.389  0.750  0.851
In  0.611  0.250  0.149
In  0.889  0.750  0.649

Top 8 peaks for 2θ from 10° to 90°, low angle first:
- 18.20 deg, I = 32
- 21.03 deg, I = 39
- 27.37 deg, I = 36
- 34.84 deg, I = 100
- 35.60 deg, I = 93
- 40.74 deg, I = 62
- 41.20 deg, I = 31
- 59.33 deg, I = 40